Structure and theoretical powder diffraction line list of Li2V2F7 (DFT lattice parameters and positions (PBE+U); λ = 1.5418 Å (Cu Kα)).

Top 12 peaks for 2θ = 10–80°, most intense first:
Position (°2θ)	I_rel
13.58	100
14.80	99
21.95	76
41.24	59
43.57	52
21.08	50
40.58	48
24.02	44
34.01	28
22.27	28
28.95	28
24.66	20

Cell and atoms:
Lattice parameters (Å, degrees): 5.5093 6.8736 8.8189 71.84 73.42 82.00
Fractional coordinates of all 22 atoms:
Li1 0.0789 0.2549 0.3420
Li2 0.3792 0.5722 0.7330
Li3 0.6208 0.4278 0.2670
Li4 0.9211 0.7451 0.6580
V1 0.2028 0.9960 0.8234
V2 0.2830 0.7835 0.3005
V3 0.7170 0.2165 0.6995
V4 0.7972 0.0040 0.1766
F1 0.0773 0.1278 0.6039
F2 0.1007 0.7214 0.8266
F3 0.1879 0.8987 0.0829
F4 0.2502 0.5018 0.3016
F5 0.3040 0.6860 0.5245
F6 0.3493 0.2765 0.7980
F7 0.3948 0.0622 0.2717
F8 0.6052 0.9378 0.7283
F9 0.6507 0.7235 0.2020
F10 0.6960 0.3140 0.4755
F11 0.7498 0.4982 0.6984
F12 0.8121 0.1013 0.9171
F13 0.8993 0.2786 0.1734
F14 0.9227 0.8722 0.3961

---

Structure and theoretical powder diffraction line list of SmEuNi4O12 (DFT lattice parameters and positions (PBE+U); λ = 1.5418 Å (Cu Kα)).

Top 12 peaks for 2θ = 10–80°, most intense first:
Position (°2θ)	I_rel
18.57	100
30.50	81
30.67	40
36.10	38
43.93	33
54.43	32
63.49	20
35.80	20
43.43	17
47.85	17
54.11	16
72.47	14

Cell and atoms:
Lattice parameters (Å, degrees): 5.8292 5.8292 8.3344 90.00 90.00 90.00
Fractional coordinates of all 18 atoms:
Sm1 0.0000 0.0000 0.0000
Eu1 0.5000 0.5000 0.5000
Ni1 0.0000 0.5000 0.2522
Ni2 0.0000 0.5000 0.7478
Ni3 0.5000 0.0000 0.2522
Ni4 0.5000 0.0000 0.7478
O1 0.0000 0.5000 0.0000
O2 0.0000 0.5000 0.5000
O3 0.2469 0.2469 0.2464
O4 0.2469 0.2469 0.7536
O5 0.2469 0.7531 0.2464
O6 0.2469 0.7531 0.7536
O7 0.5000 0.0000 0.0000
O8 0.5000 0.0000 0.5000
O9 0.7531 0.2469 0.2464
O10 0.7531 0.2469 0.7536
O11 0.7531 0.7531 0.2464
O12 0.7531 0.7531 0.7536

---

Structure and theoretical powder diffraction line list of Mg3FeSi2O8 (DFT lattice parameters and positions (PBE+U); λ = 1.5418 Å (Cu Kα)).

Top 12 peaks for 2θ = 10–80°, most intense first:
Position (°2θ)	I_rel
35.10	100
35.93	83
51.50	71
31.78	66
25.09	56
22.44	40
61.42	35
29.28	35
60.75	32
39.02	30
55.78	25
37.51	24

Cell and atoms:
Lattice parameters (Å, degrees): 6.0981 4.8052 10.4254 90.00 90.00 90.00
Fractional coordinates of all 28 atoms:
Mg1 0.0000 0.2434 0.0000
Mg2 0.0000 0.7566 0.5000
Mg3 0.2502 0.2501 0.7223
Mg4 0.2502 0.7499 0.2223
Mg5 0.7498 0.2501 0.7223
Mg6 0.7498 0.7499 0.2223
Fe1 0.5000 0.2644 0.4438
Fe2 0.5000 0.7356 0.9438
Si1 0.0000 0.3220 0.3153
Si2 0.0000 0.6780 0.8153
Si3 0.5000 0.1751 0.1271
Si4 0.5000 0.8249 0.6271
O1 0.0000 0.0177 0.8141
O2 0.0000 0.4715 0.1702
O3 0.0000 0.5285 0.6702
O4 0.0000 0.9823 0.3141
O5 0.2129 0.4730 0.3856
O6 0.2129 0.5270 0.8856
O7 0.2808 0.0315 0.0602
O8 0.2808 0.9685 0.5602
O9 0.5000 0.0234 0.2717
O10 0.5000 0.4851 0.6345
O11 0.5000 0.5149 0.1345
O12 0.5000 0.9766 0.7717
O13 0.7192 0.0315 0.0602
O14 0.7192 0.9685 0.5602
O15 0.7871 0.4730 0.3856
O16 0.7871 0.5270 0.8856

---

Structure and theoretical powder diffraction line list of Li3TiNi3O8 (DFT lattice parameters and positions (PBE+U); λ = 1.5418 Å (Cu Kα)).

Top 12 peaks for 2θ = 10–80°, most intense first:
Position (°2θ)	I_rel
18.29	100
44.18	42
36.47	25
42.56	23
35.39	14
63.33	12
62.70	12
58.05	9
47.55	8
37.80	8
64.92	6
63.59	6

Cell and atoms:
Lattice parameters (Å, degrees): 5.8778 5.8778 5.8536 119.25 119.25 58.52
Fractional coordinates of all 15 atoms:
Li1 0.0000 0.0000 0.0000
Li2 0.0000 0.5000 0.0000
Li3 0.5000 0.0000 0.0000
Ti1 0.5000 0.5000 0.5000
Ni1 0.0000 0.0000 0.5000
Ni2 0.0000 0.5000 0.5000
Ni3 0.5000 0.0000 0.5000
O1 0.2213 0.2213 0.7056
O2 0.2398 0.7593 0.2773
O3 0.2407 0.7602 0.7227
O4 0.2644 0.2644 0.2755
O5 0.7356 0.7356 0.7245
O6 0.7593 0.2398 0.2773
O7 0.7602 0.2407 0.7227
O8 0.7787 0.7787 0.2944

---

Structure and theoretical powder diffraction line list of MnAl2P2H18O18 (DFT lattice parameters and positions (PBE+U); λ = 1.5418 Å (Cu Kα)).

Top 12 peaks for 2θ = 10–80°, most intense first:
Position (°2θ)	I_rel
13.66	100
18.52	87
27.52	58
30.60	53
34.33	47
28.40	33
37.64	29
17.57	26
22.45	23
24.07	21
44.15	20
35.88	20

Cell and atoms:
Lattice parameters (Å, degrees): 5.2540 7.0090 10.4658 95.38 101.49 110.01
Fractional coordinates of all 41 atoms:
Mn1 0.0000 0.0000 0.0000
Al1 0.5000 0.0000 0.5000
Al2 0.5000 0.5000 0.5000
P1 0.0091 0.9132 0.6636
P2 0.9909 0.0868 0.3364
H1 0.0895 0.6521 0.8184
H2 0.1020 0.5792 0.2422
H3 0.1679 0.6735 0.5118
H4 0.1938 0.4035 0.9482
H5 0.2997 0.4794 0.7182
H6 0.3043 0.9450 0.2116
H7 0.3366 0.4119 0.0978
H8 0.3778 0.2889 0.6675
H9 0.4622 0.0060 0.8678
H10 0.5378 0.9940 0.1322
H11 0.6222 0.7111 0.3325
H12 0.6634 0.5881 0.9022
H13 0.6957 0.0550 0.7884
H14 0.7003 0.5206 0.2818
H15 0.8062 0.5965 0.0518
H16 0.8321 0.3265 0.4882
H17 0.8980 0.4208 0.7578
H18 0.9105 0.3479 0.1816
O1 0.0853 0.5068 0.8113
O2 0.0953 0.8944 0.8116
O3 0.1281 0.3041 0.4243
O4 0.1941 0.9683 0.3509
O5 0.2634 0.3235 0.0109
O6 0.2789 0.0379 0.6217
O7 0.3322 0.9309 0.1200
O8 0.3572 0.7106 0.4972
O9 0.4426 0.4447 0.6793
O10 0.5574 0.5553 0.3207
O11 0.6428 0.2894 0.5028
O12 0.6678 0.0691 0.8800
O13 0.7211 0.9621 0.3783
O14 0.7366 0.6765 0.9891
O15 0.8059 0.0317 0.6491
O16 0.8719 0.6959 0.5757
O17 0.9047 0.1056 0.1884
O18 0.9147 0.4932 0.1887

---

Structure and theoretical powder diffraction line list of NaVCdO4 (DFT lattice parameters and positions (PBE+U); λ = 1.5418 Å (Cu Kα)).

Top 12 peaks for 2θ = 10–80°, most intense first:
Position (°2θ)	I_rel
30.76	100
32.54	56
17.69	42
30.04	39
44.16	32
56.44	26
19.06	20
53.80	18
62.01	17
46.59	16
31.60	15
78.41	14

Cell and atoms:
Lattice parameters (Å, degrees): 5.5247 5.5247 7.1341 90.00 90.00 114.85
Fractional coordinates of all 14 atoms:
Na1 0.1809 0.8191 0.7500
Na2 0.8191 0.1809 0.2500
V1 0.1506 0.8494 0.2500
V2 0.8494 0.1506 0.7500
Cd1 0.5000 0.5000 0.0000
Cd2 0.5000 0.5000 0.5000
O1 0.2038 0.2795 0.7500
O2 0.2587 0.7413 0.0551
O3 0.2587 0.7413 0.4449
O4 0.2795 0.2038 0.2500
O5 0.7205 0.7962 0.7500
O6 0.7413 0.2587 0.5551
O7 0.7413 0.2587 0.9449
O8 0.7962 0.7205 0.2500

---

Structure and theoretical powder diffraction line list of Ca2YWO5 (DFT lattice parameters and positions (PBE+U); λ = 1.5418 Å (Cu Kα)).

Top 12 peaks for 2θ = 10–80°, most intense first:
Position (°2θ)	I_rel
21.27	100
31.49	98
31.71	96
11.49	76
30.64	62
29.88	60
43.33	53
23.09	45
54.07	24
54.21	23
56.87	22
24.17	22

Cell and atoms:
Lattice parameters (Å, degrees): 8.7391 8.7391 5.8358 109.00 109.00 40.02
Fractional coordinates of all 18 atoms:
Ca1 0.2284 0.7716 0.5000
Ca2 0.4847 0.9429 0.7208
Ca3 0.7716 0.2284 0.0000
Ca4 0.9429 0.4847 0.2208
Y1 0.1556 0.5590 0.8300
Y2 0.5590 0.1556 0.3300
W1 0.3574 0.8557 0.1499
W2 0.8557 0.3574 0.6499
O1 0.1090 0.8336 0.0665
O2 0.1399 0.1497 0.4346
O3 0.1497 0.1399 0.9346
O4 0.2120 0.5012 0.4532
O5 0.5012 0.2120 0.9532
O6 0.5480 0.5870 0.8434
O7 0.5870 0.5480 0.3434
O8 0.6032 0.8806 0.3340
O9 0.8336 0.1090 0.5665
O10 0.8806 0.6032 0.8340

---

Structure and theoretical powder diffraction line list of SrVClO3 (DFT lattice parameters and positions (PBE+U); λ = 1.5418 Å (Cu Kα)).

Top 12 peaks for 2θ = 10–80°, most intense first:
Position (°2θ)	I_rel
33.62	100
31.55	65
29.02	61
44.98	46
24.09	35
25.14	30
45.58	28
27.22	27
43.37	26
63.98	24
22.60	22
40.39	18

Cell and atoms:
Lattice parameters (Å, degrees): 10.2458 5.3343 7.0857 90.00 90.00 90.00
Fractional coordinates of all 24 atoms:
Sr1 0.1887 0.2500 0.0970
Sr2 0.3113 0.7500 0.5970
Sr3 0.6887 0.2500 0.4030
Sr4 0.8113 0.7500 0.9030
V1 0.0377 0.2500 0.5582
V2 0.4623 0.7500 0.0582
V3 0.5377 0.2500 0.9418
V4 0.9623 0.7500 0.4418
Cl1 0.1082 0.7500 0.9327
Cl2 0.3918 0.2500 0.4327
Cl3 0.6082 0.7500 0.5673
Cl4 0.8918 0.2500 0.0673
O1 0.0997 0.5060 0.4041
O2 0.0997 0.9940 0.4041
O3 0.1386 0.2500 0.7386
O4 0.3614 0.7500 0.2386
O5 0.4003 0.0060 0.9041
O6 0.4003 0.4940 0.9041
O7 0.5997 0.5060 0.0959
O8 0.5997 0.9940 0.0959
O9 0.6386 0.2500 0.7614
O10 0.8614 0.7500 0.2614
O11 0.9003 0.0060 0.5959
O12 0.9003 0.4940 0.5959

---

Structure and theoretical powder diffraction line list of K2MgCo2O4 (DFT lattice parameters and positions (PBE+U); λ = 1.5418 Å (Cu Kα)).

Top 12 peaks for 2θ = 10–80°, most intense first:
Position (°2θ)	I_rel
28.63	100
33.10	71
31.06	65
38.37	58
36.49	56
41.24	51
42.59	43
55.30	41
16.02	36
18.80	35
12.11	33
42.90	30

Cell and atoms:
Lattice parameters (Å, degrees): 5.8206 5.8206 8.6404 120.78 120.78 32.97
Fractional coordinates of all 9 atoms:
K1 0.0000 0.0000 0.0000
K2 0.6663 0.6663 0.7635
Mg1 0.5187 0.5187 0.3428
Co1 0.7913 0.7913 0.2049
Co2 0.8540 0.8540 0.5547
O1 0.3201 0.3201 0.0959
O2 0.3961 0.3961 0.7051
O3 0.6729 0.6729 0.3019
O4 0.9925 0.9925 0.4506

---

Structure and theoretical powder diffraction line list of Li6VFe5O12 (DFT lattice parameters and positions (PBE+U); λ = 1.5418 Å (Cu Kα)).

Top 12 peaks for 2θ = 10–80°, most intense first:
Position (°2θ)	I_rel
17.75	100
46.89	22
43.79	20
36.46	19
37.68	17
64.75	12
42.99	11
38.49	10
48.28	9
36.42	9
56.98	7
67.18	7

Cell and atoms:
Lattice parameters (Å, degrees): 4.9783 5.0102 10.0818 86.12 82.36 60.24
Fractional coordinates of all 24 atoms:
Li1 0.0000 0.0000 0.0000
Li2 0.0885 0.3286 0.5188
Li3 0.3261 0.3333 0.0027
Li4 0.4182 0.6686 0.5186
Li5 0.6569 0.6655 0.0066
Li6 0.7500 0.0016 0.5208
V1 0.0248 0.6724 0.7615
Fe1 0.2076 0.3307 0.2613
Fe2 0.3814 0.9956 0.7613
Fe3 0.5384 0.6684 0.2616
Fe4 0.7114 0.3340 0.7615
Fe5 0.8713 0.0022 0.2608
O1 0.0110 0.3488 0.8794
O2 0.0636 0.9871 0.6430
O3 0.1953 0.6443 0.3680
O4 0.2609 0.9999 0.1501
O5 0.3313 0.6683 0.8766
O6 0.3844 0.3487 0.6462
O7 0.4852 0.9994 0.3727
O8 0.5508 0.3550 0.1527
O9 0.6933 0.9866 0.8821
O10 0.7476 0.6679 0.6406
O11 0.8410 0.3525 0.3697
O12 0.9055 0.6451 0.1547